Entry 1:
This entry pairs a crystal structure of Ni2PO5 with its computed powder diffraction line list. Radiation: Cu Ka. Structure: the PBE+U geometry in the Materials Project.

Main lines, in order of rising 2θ (2θ = 10–80°):
2θ 18.1, rel. 35; 2θ 27.8, rel. 100; 2θ 36.7, rel. 22; 2θ 38.2, rel. 26; 2θ 43.9, rel. 28; 2θ 57.4, rel. 52

Cell and atoms:
```
data_Ni2PO5
_chemical_formula_sum 'Ni4 P2 O10'
_cell_length_a 7.119
_cell_length_b 7.119
_cell_length_c 7.119
_cell_angle_alpha 135.69
_cell_angle_beta 135.69
_cell_angle_gamma 64.46
_symmetry_space_group_name_H-M 'P 1'
_symmetry_Int_Tables_number 1
loop_
_symmetry_equiv_pos_as_xyz
'x,y,z'
loop_
_atom_site_label
_atom_site_type_symbol
_atom_site_fract_x
_atom_site_fract_y
_atom_site_fract_z
_atom_site_occupancy
Ni1 Ni 0.000 0.000 0.000 1
Ni2 Ni 0.000 0.000 0.500 1
Ni3 Ni 0.000 0.500 0.000 1
Ni4 Ni 0.500 0.000 0.500 1
P1 P 0.375 0.625 0.750 1
P2 P 0.625 0.375 0.250 1
O1 O 0.125 0.875 0.250 1
O2 O 0.201 0.694 0.507 1
O3 O 0.306 0.313 0.507 1
O4 O 0.306 0.799 0.993 1
O5 O 0.313 0.306 0.007 1
O6 O 0.687 0.694 0.993 1
O7 O 0.694 0.201 0.007 1
O8 O 0.694 0.687 0.493 1
O9 O 0.799 0.306 0.493 1
O10 O 0.875 0.125 0.750 1
```

Entry 2:
This entry pairs a crystal structure of TbVO4 with its computed powder diffraction line list. Radiation: Cu Ka. Structure: the PBE+U geometry in the Materials Project.

Main lines, in order of rising 2θ (2θ = 10–80°):
2θ 18.5, rel. 41; 2θ 24.6, rel. 100; 2θ 33.1, rel. 70; 2θ 35.0, rel. 22; 2θ 49.0, rel. 59; 2θ 61.6, rel. 17

Cell and atoms:
```
data_TbVO4
_chemical_formula_sum 'Tb2 V2 O8'
_cell_length_a 6.032
_cell_length_b 6.032
_cell_length_c 6.032
_cell_angle_alpha 106.20
_cell_angle_beta 106.20
_cell_angle_gamma 116.23
_symmetry_space_group_name_H-M 'P 1'
_symmetry_Int_Tables_number 1
loop_
_symmetry_equiv_pos_as_xyz
'x,y,z'
loop_
_atom_site_label
_atom_site_type_symbol
_atom_site_fract_x
_atom_site_fract_y
_atom_site_fract_z
_atom_site_occupancy
Tb1 Tb 0.375 0.625 0.750 1
Tb2 Tb 0.625 0.375 0.250 1
V1 V 0.125 0.875 0.250 1
V2 V 0.875 0.125 0.750 1
O1 O 0.134 0.700 0.434 1
O2 O 0.235 0.300 0.934 1
O3 O 0.300 0.235 0.434 1
O4 O 0.300 0.866 0.066 1
O5 O 0.700 0.134 0.934 1
O6 O 0.700 0.765 0.566 1
O7 O 0.765 0.700 0.066 1
O8 O 0.866 0.300 0.566 1
```

Entry 3:
This entry pairs a crystal structure of Ca2MnGaO5 with its computed powder diffraction line list. Radiation: Cu Ka. Structure: the PBE+U geometry in the Materials Project.

Main lines, in order of rising 2θ (2θ = 10–80°):
2θ 23.8, rel. 23; 2θ 31.9, rel. 40; 2θ 33.2, rel. 100; 2θ 33.3, rel. 85; 2θ 46.7, rel. 22; 2θ 48.6, rel. 26

Cell and atoms:
```
data_Ca2MnGaO5
_chemical_formula_sum 'Ca4 Mn2 Ga2 O10'
_cell_length_a 5.375
_cell_length_b 5.617
_cell_length_c 8.427
_cell_angle_alpha 109.30
_cell_angle_beta 108.41
_cell_angle_gamma 90.29
_symmetry_space_group_name_H-M 'P 1'
_symmetry_Int_Tables_number 1
loop_
_symmetry_equiv_pos_as_xyz
'x,y,z'
loop_
_atom_site_label
_atom_site_type_symbol
_atom_site_fract_x
_atom_site_fract_y
_atom_site_fract_z
_atom_site_occupancy
Ca1 Ca 0.000 0.000 0.000 1
Ca2 Ca 0.217 0.271 0.435 1
Ca3 Ca 0.494 0.555 0.998 1
Ca4 Ca 0.714 0.716 0.436 1
Mn1 Mn 0.119 0.635 0.217 1
Mn2 Mn 0.621 0.136 0.217 1
Ga1 Ga 0.329 0.955 0.722 1
Ga2 Ga 0.825 0.315 0.713 1
O1 O 0.013 0.569 0.920 1
O2 O 0.315 0.703 0.515 1
O3 O 0.348 0.369 0.183 1
O4 O 0.386 0.908 0.245 1
O5 O 0.474 0.263 0.718 1
O6 O 0.513 0.930 0.941 1
O7 O 0.791 0.342 0.494 1
O8 O 0.851 0.372 0.191 1
O9 O 0.888 0.893 0.251 1
O10 O 0.973 0.008 0.717 1
```